For Rb2CdAgF6, a GGA-PBE-relaxed structure gives the theoretical X-ray powder pattern in this record (Cu Kα (weighted mean of Kα1 and Kα2)).

Atomic structure:
Lattice parameters (Å, degrees): 6.251 6.251 9.320 90.00 90.00 90.00
Space group I4/mmm (No. 139)
One atom of each set of equivalent atoms:
Rb 0.000 0.500 0.250
Cd 0.000 0.000 0.000
Ag 0.000 0.000 0.500
F 0.000 0.000 0.234
F 0.244 0.244 0.500

Most intense lines, 2θ = 10–80°, by angle:
2θ/deg	d_spacing	I_rel
27.8	3.207	100
28.6	3.126	47
38.6	2.330	21
40.8	2.210	36
48.7	1.868	21
50.1	1.820	39
57.5	1.603	24
59.1	1.563	11
72.9	1.298	11
78.3	1.221	11